Starting from a cell relaxed with GGA-PBE, the powder XRD pattern of LaTm3Al2 was computed for Cu Ka.
Neutral-atom scattering factors, no anomalous dispersion.

```
data_LaTm3Al2
_chemical_formula_sum 'La1 Tm3 Al2'
_cell_length_a 3.522
_cell_length_b 3.522
_cell_length_c 12.610
_cell_angle_alpha 90.00
_cell_angle_beta 90.00
_cell_angle_gamma 90.00
_space_group_name_H-M_alt 'P 1'
_space_group_IT_number 1
loop_
_space_group_symop_operation_xyz
'x,y,z'
loop_
_atom_site_label
_atom_site_fract_x
_atom_site_fract_y
_atom_site_fract_z
_atom_site_occupancy
La1 0.000 0.000 0.000 1
Tm1 0.500 0.500 0.210 1
Tm2 0.500 0.500 0.500 1
Tm3 0.500 0.500 0.790 1
Al1 0.000 0.000 0.354 1
Al2 0.000 0.000 0.646 1
```

Top 8 peaks for 2θ = 10–90°, low angle first:
2θ = 25.29°, I 28
2θ = 28.31°, I 22
2θ = 29.04°, I 26
2θ = 33.19°, I 100
2θ = 36.07°, I 57
2θ = 46.47°, I 23
2θ = 57.44°, I 27
2θ = 63.03°, I 32